This entry pairs a crystal structure of SmThSc6 with its calculated powder diffractogram. Radiation: Cu Kα. Structure: the GGA-PBE geometry in Alexandria.

Structure:
Cell lengths 9.466, 9.477, 4.718 Å; angles 90.00, 90.00, 90.00 degrees
Space group Cmmm (No. 65)
Symmetry-distinct sites (fractional):
Sm 0.000 0.000 0.000 (multiplicity 2)
Th 0.000 0.500 0.000 (multiplicity 2)
Sc 0.000 0.253 0.500 (multiplicity 4)
Sc 0.247 0.500 0.500 (multiplicity 4)
Sc 0.250 0.250 0.000 (multiplicity 4)

Top 10 peaks for 2θ from 10° to 80°, by angle:
2θ/deg, Rel. int., hkl
18.8, 55, 2 0 0
26.7, 48, 2 2 0
32.8, 100, 2 2 1
38.0, 33, 4 0 0
38.1, 16, 0 0 2
42.7, 19, 4 0 1
47.0, 15, 4 2 1
54.9, 22, 4 4 0
65.4, 26, 6 2 1
65.6, 13, 2 2 3